# Ac2SmRu
Simulated X-ray diffraction stick pattern, λ = 1.5418 Å (Cu Kα). Input: a structure optimized by DFT (GGA-PBE).
No peak broadening, texture or thermal motion is included.

Peak list (10 most intense, 2θ = 10–90°, in order of rising 2θ)
26.54°, intensity 273; 28.14°, intensity 539; 28.59°, intensity 1000; 36.60°, intensity 153; 36.96°, intensity 317; 43.88°, intensity 294; 44.81°, intensity 136; 48.14°, intensity 243; 52.02°, intensity 182; 53.75°, intensity 186

Atomic structure:
a = 7.196 Å, b = 6.717 Å, c = 12.136 Å
α = 90.00°, β = 90.00°, γ = 90.00°
Atoms (fractional coordinates):
Ac  0.083  0.243  0.084
Ac  0.083  0.257  0.416
Ac  0.417  0.743  0.416
Ac  0.417  0.757  0.084
Ac  0.583  0.243  0.916
Ac  0.583  0.257  0.584
Ac  0.917  0.743  0.584
Ac  0.917  0.757  0.916
Sm  0.089  0.250  0.750
Sm  0.411  0.750  0.750
Sm  0.589  0.250  0.250
Sm  0.911  0.750  0.250
Ru  0.250  0.000  0.905
Ru  0.250  0.500  0.595
Ru  0.750  0.000  0.095
Ru  0.750  0.500  0.405



# Ac3N2Cl3
Simulated X-ray diffraction stick pattern, λ = 1.5418 Å (Cu Kα). Input: a structure optimized by DFT (GGA-PBE).
No peak broadening, texture or thermal motion is included.

Peak list (10 most intense, 2θ = 10–90°, in order of rising 2θ)
12.44°, intensity 670; 22.38°, intensity 334; 22.69°, intensity 472; 28.11°, intensity 311; 28.64°, intensity 1000; 29.45°, intensity 719; 31.56°, intensity 313; 34.02°, intensity 288; 38.56°, intensity 504; 51.78°, intensity 305

Atomic structure:
a = 7.407 Å, b = 7.407 Å, c = 14.085 Å
α = 90.00°, β = 90.00°, γ = 147.57°
Atoms (fractional coordinates):
Ac  0.148  0.852  0.538
Ac  0.148  0.852  0.962
Ac  0.201  0.799  0.250
Ac  0.799  0.201  0.750
Ac  0.852  0.148  0.038
Ac  0.852  0.148  0.462
N  0.265  0.735  0.087
N  0.265  0.735  0.413
N  0.735  0.265  0.587
N  0.735  0.265  0.913
Cl  0.148  0.852  0.750
Cl  0.441  0.559  0.622
Cl  0.441  0.559  0.878
Cl  0.559  0.441  0.122
Cl  0.559  0.441  0.378
Cl  0.852  0.148  0.250



# CeBeP2O8
Simulated X-ray diffraction stick pattern, λ = 1.5418 Å (Cu Kα). Input: a structure optimized by DFT (GGA-PBE).
No peak broadening, texture or thermal motion is included.

Peak list (10 most intense, 2θ = 10–90°, in order of rising 2θ)
14.21°, intensity 579; 20.52°, intensity 622; 25.05°, intensity 1000; 35.49°, intensity 495; 35.94°, intensity 472; 38.83°, intensity 589; 44.31°, intensity 230; 48.60°, intensity 218; 51.40°, intensity 310; 58.32°, intensity 200

Atomic structure:
a = 4.998 Å, b = 4.998 Å, c = 6.235 Å
α = 90.00°, β = 90.00°, γ = 120.00°
Atoms (fractional coordinates):
Ce  0.000  0.000  0.000
Be  0.000  0.000  0.500
P  0.333  0.667  0.758
P  0.667  0.333  0.242
O  0.162  0.327  0.686
O  0.165  0.838  0.686
O  0.327  0.165  0.314
O  0.333  0.667  0.007
O  0.667  0.333  0.993
O  0.673  0.835  0.686
O  0.835  0.162  0.314
O  0.838  0.673  0.314



# NpTiSe2
Simulated X-ray diffraction stick pattern, λ = 1.5418 Å (Cu Kα). Input: a structure optimized by DFT (GGA-PBE).
No peak broadening, texture or thermal motion is included.

Peak list (10 most intense, 2θ = 10–90°, in order of rising 2θ)
13.00°, intensity 483; 27.64°, intensity 499; 28.68°, intensity 413; 32.53°, intensity 590; 35.16°, intensity 1000; 41.48°, intensity 374; 48.23°, intensity 514; 61.08°, intensity 201; 64.18°, intensity 187; 75.16°, intensity 209

Atomic structure:
a = 3.773 Å, b = 3.773 Å, c = 20.434 Å
α = 90.00°, β = 90.00°, γ = 120.00°
Atoms (fractional coordinates):
Np  0.000  0.000  0.000
Np  0.333  0.667  0.667
Np  0.667  0.333  0.333
Ti  0.000  0.000  0.826
Ti  0.333  0.667  0.493
Ti  0.667  0.333  0.159
Se  0.000  0.000  0.236
Se  0.000  0.000  0.424
Se  0.333  0.667  0.091
Se  0.333  0.667  0.903
Se  0.667  0.333  0.569
Se  0.667  0.333  0.758



# Tl2VPbS4
Simulated X-ray diffraction stick pattern, λ = 1.5418 Å (Cu Kα). Input: a structure optimized by DFT (GGA-PBE).
No peak broadening, texture or thermal motion is included.

Peak list (10 most intense, 2θ = 10–90°, in order of rising 2θ)
20.27°, intensity 402; 23.19°, intensity 775; 24.00°, intensity 1000; 27.40°, intensity 511; 29.02°, intensity 606; 35.13°, intensity 328; 35.99°, intensity 279; 37.46°, intensity 624; 38.95°, intensity 249; 48.04°, intensity 241

Atomic structure:
a = 8.423 Å, b = 9.292 Å, c = 6.153 Å
α = 90.00°, β = 90.00°, γ = 90.00°
Atoms (fractional coordinates):
Tl  0.205  0.145  0.000
Tl  0.295  0.855  0.500
Tl  0.705  0.855  0.500
Tl  0.795  0.145  0.000
V  0.000  0.685  0.895
V  0.500  0.315  0.395
Pb  0.000  0.399  0.493
Pb  0.500  0.601  0.993
S  0.000  0.448  0.947
S  0.000  0.706  0.536
S  0.226  0.793  0.993
S  0.274  0.207  0.493
S  0.500  0.294  0.036
S  0.500  0.552  0.447
S  0.726  0.207  0.493
S  0.774  0.793  0.993



# Tb6Ho
Simulated X-ray diffraction stick pattern, λ = 1.5418 Å (Cu Kα). Input: a structure optimized by DFT (GGA-PBE).
No peak broadening, texture or thermal motion is included.

Peak list (10 most intense, 2θ = 10–90°, in order of rising 2θ)
28.77°, intensity 1000; 31.25°, intensity 787; 31.98°, intensity 595; 32.54°, intensity 292; 35.04°, intensity 777; 37.05°, intensity 234; 39.39°, intensity 272; 56.01°, intensity 535; 61.43°, intensity 233; 66.39°, intensity 270

Atomic structure:
a = 6.470 Å, b = 6.470 Å, c = 11.005 Å
α = 90.00°, β = 90.00°, γ = 90.00°
Atoms (fractional coordinates):
Tb  0.082  0.582  0.138
Tb  0.082  0.918  0.862
Tb  0.250  0.250  0.361
Tb  0.250  0.250  0.639
Tb  0.418  0.582  0.862
Tb  0.418  0.918  0.138
Tb  0.582  0.082  0.862
Tb  0.582  0.418  0.138
Tb  0.750  0.750  0.361
Tb  0.750  0.750  0.639
Tb  0.918  0.082  0.138
Tb  0.918  0.418  0.862
Ho  0.250  0.750  0.500
Ho  0.750  0.250  0.500



# PuPaOsPb
Simulated X-ray diffraction stick pattern, λ = 1.5418 Å (Cu Kα). Input: a structure optimized by DFT (GGA-PBE).
No peak broadening, texture or thermal motion is included.

Peak list (10 most intense, 2θ = 10–90°, in order of rising 2θ)
30.20°, intensity 73; 34.08°, intensity 1000; 39.00°, intensity 413; 40.65°, intensity 91; 41.16°, intensity 97; 50.10°, intensity 75; 56.34°, intensity 145; 57.60°, intensity 133; 59.23°, intensity 83; 67.51°, intensity 288

Atomic structure:
a = 3.266 Å, b = 3.266 Å, c = 8.878 Å
α = 90.00°, β = 90.00°, γ = 90.00°
Atoms (fractional coordinates):
Pu  0.000  0.000  0.000
Pa  0.000  0.000  0.587
Os  0.500  0.500  0.782
Pb  0.500  0.500  0.293



# La2Pr3Hg3
Simulated X-ray diffraction stick pattern, λ = 1.5418 Å (Cu Kα). Input: a structure optimized by DFT (GGA-PBE).
No peak broadening, texture or thermal motion is included.

Peak list (10 most intense, 2θ = 10–90°, in order of rising 2θ)
31.27°, intensity 225; 32.08°, intensity 1000; 32.22°, intensity 262; 45.51°, intensity 162; 46.50°, intensity 95; 56.17°, intensity 130; 57.11°, intensity 86; 57.37°, intensity 206; 57.70°, intensity 100; 67.10°, intensity 102

Atomic structure:
a = 3.906 Å, b = 5.557 Å, c = 22.882 Å
α = 90.00°, β = 90.00°, γ = 90.00°
Atoms (fractional coordinates):
La  0.000  0.000  0.233
La  0.000  0.000  0.767
La  0.500  0.500  0.267
La  0.500  0.500  0.733
Pr  0.000  0.000  0.000
Pr  0.000  0.500  0.119
Pr  0.000  0.500  0.881
Pr  0.500  0.000  0.381
Pr  0.500  0.000  0.619
Pr  0.500  0.500  0.500
Hg  0.000  0.000  0.500
Hg  0.000  0.500  0.383
Hg  0.000  0.500  0.617
Hg  0.500  0.000  0.117
Hg  0.500  0.000  0.883
Hg  0.500  0.500  0.000